Structure and theoretical XRD peak list of Sr3V2O8 (a structure optimized by DFT (PBE+U); Cu Kα).

Cell lengths 5.7182, 5.7182, 20.2493 Å; angles 90.00, 90.00, 120.00 degrees
Space group R-3m (No. 166, hexagonal axes)
Unique sites:
Sr  0.0000  0.0000  0.0000 [3 per cell]
Sr  0.0000  0.0000  0.2013 [6 per cell]
V  0.0000  0.0000  0.4059 [6 per cell]
O  0.0000  0.0000  0.3209 [6 per cell]
O  0.0006  0.5003  0.2321 [18 per cell]

Principal peaks in the range 2θ from 10° to 90°, sorted by position:
- (0 1 5), 28.5°, rel. 97
- (1 1 0), 31.3°, rel. 100
- (2 0 5), 42.8°, rel. 47
- (1 0 10), 48.6°, rel. 30
- (1 2 5), 54.0°, rel. 32
- (3 0 0), 55.7°, rel. 18
- (2 2 0), 65.3°, rel. 19
- (2 1 10), 68.2°, rel. 21
- (3 1 5), 72.7°, rel. 13
- (1 1 15), 78.3°, rel. 15